Simulated X-ray diffraction stick pattern of CaSn2S5 for λ = 1.5418 Å (Cu Kα), from a structure optimized by DFT (GGA-PBE).
No peak broadening, texture or thermal motion is included.

Top 10 peaks for 10 to 90 degrees two-theta, most intense first:
2θ 45.0, d = 2.013 Å, I = 100; 2θ 26.8, d = 3.324 Å, I = 91; 2θ 41.0, d = 2.200 Å, I = 87; 2θ 23.6, d = 3.773 Å, I = 85; 2θ 22.3, d = 3.995 Å, I = 84; 2θ 18.6, d = 4.766 Å, I = 78; 2θ 26.3, d = 3.386 Å, I = 75; 2θ 34.6, d = 2.591 Å, I = 71; 2θ 34.8, d = 2.576 Å, I = 58; 2θ 48.5, d = 1.877 Å, I = 58

Structural model:
a b c (Å): 9.5319 10.8651 7.5043
angles (deg): 90.00 90.00 90.00
Fractional positions:
Ca  0.1296  0.1715  0.0000
Ca  0.3704  0.6715  0.0000
Ca  0.6296  0.3285  0.0000
Ca  0.8704  0.8285  0.0000
Sn  0.0000  0.5000  0.2359
Sn  0.0000  0.5000  0.7641
Sn  0.1057  0.8523  0.5000
Sn  0.3943  0.3523  0.5000
Sn  0.5000  0.0000  0.2359
Sn  0.5000  0.0000  0.7641
Sn  0.6057  0.6477  0.5000
Sn  0.8943  0.1477  0.5000
S  0.0000  0.0000  0.2733
S  0.0000  0.0000  0.7267
S  0.1145  0.7136  0.2271
S  0.1145  0.7136  0.7729
S  0.1401  0.4012  0.5000
S  0.1799  0.4382  0.0000
S  0.3201  0.9382  0.0000
S  0.3599  0.9012  0.5000
S  0.3855  0.2136  0.2271
S  0.3855  0.2136  0.7729
S  0.5000  0.5000  0.2733
S  0.5000  0.5000  0.7267
S  0.6145  0.7864  0.2271
S  0.6145  0.7864  0.7729
S  0.6401  0.0988  0.5000
S  0.6799  0.0618  0.0000
S  0.8201  0.5618  0.0000
S  0.8599  0.5988  0.5000
S  0.8855  0.2864  0.2271
S  0.8855  0.2864  0.7729



Simulated X-ray diffraction stick pattern of CaSnS3 for λ = 1.5418 Å (Cu Kα), from a structure optimized by DFT (GGA-PBE).
No peak broadening, texture or thermal motion is included.

Top 10 peaks for 10 to 90 degrees two-theta, most intense first:
2θ 15.5, d = 5.735 Å, I = 100; 2θ 26.4, d = 3.381 Å, I = 55; 2θ 34.5, d = 2.601 Å, I = 41; 2θ 39.1, d = 2.302 Å, I = 30; 2θ 54.3, d = 1.691 Å, I = 30; 2θ 16.4, d = 5.411 Å, I = 27; 2θ 40.0, d = 2.255 Å, I = 26; 2θ 44.5, d = 2.035 Å, I = 25; 2θ 29.5, d = 3.027 Å, I = 25; 2θ 40.9, d = 2.207 Å, I = 23

Structural model:
a b c (Å): 10.2062 10.2062 10.2062
angles (deg): 38.70 38.70 38.70
Fractional positions:
Ca  0.0000  0.0000  0.0000
Ca  0.2167  0.2167  0.2167
Ca  0.7833  0.7833  0.7833
Sn  0.3896  0.3896  0.3896
Sn  0.5000  0.5000  0.5000
Sn  0.6104  0.6104  0.6104
S  0.0000  0.5000  0.5000
S  0.2079  0.7285  0.7285
S  0.2715  0.2715  0.7921
S  0.2715  0.7921  0.2715
S  0.5000  0.0000  0.5000
S  0.5000  0.5000  0.0000
S  0.7285  0.2079  0.7285
S  0.7285  0.7285  0.2079
S  0.7921  0.2715  0.2715



Simulated X-ray diffraction stick pattern of CaSnS3 for λ = 1.5418 Å (Cu Kα), from a structure optimized by DFT (GGA-PBE).
No peak broadening, texture or thermal motion is included.

Top 10 peaks for 10 to 90 degrees two-theta, most intense first:
2θ 22.8, d = 3.896 Å, I = 100; 2θ 21.1, d = 4.213 Å, I = 68; 2θ 13.7, d = 6.451 Å, I = 38; 2θ 37.5, d = 2.401 Å, I = 34; 2θ 20.2, d = 4.387 Å, I = 31; 2θ 45.0, d = 2.015 Å, I = 28; 2θ 22.0, d = 4.034 Å, I = 25; 2θ 38.9, d = 2.314 Å, I = 25; 2θ 19.2, d = 4.625 Å, I = 23; 2θ 17.8, d = 4.997 Å, I = 19

Structural model:
a b c (Å): 9.3134 9.6051 10.3417
angles (deg): 103.56 96.07 90.12
Fractional positions:
Ca  0.0296  0.2587  0.0304
Ca  0.2574  0.9338  0.7186
Ca  0.2590  0.4221  0.7142
Ca  0.7410  0.5779  0.2858
Ca  0.7426  0.0662  0.2814
Ca  0.9704  0.7413  0.9696
Sn  0.2113  0.5588  0.3316
Sn  0.2146  0.1057  0.3247
Sn  0.4463  0.7724  0.0909
Sn  0.5537  0.2276  0.9091
Sn  0.7854  0.8943  0.6753
Sn  0.7887  0.4412  0.6684
S  0.0070  0.0175  0.1707
S  0.0066  0.5714  0.1761
S  0.2193  0.6409  0.5669
S  0.2213  0.1356  0.5568
S  0.2705  0.7205  0.8997
S  0.2806  0.3138  0.2443
S  0.2941  0.2267  0.8921
S  0.4372  0.0162  0.2236
S  0.4366  0.6180  0.2461
S  0.5634  0.3820  0.7539
S  0.5628  0.9838  0.7764
S  0.7059  0.7733  0.1079
S  0.7194  0.6862  0.7557
S  0.7295  0.2795  0.1003
S  0.7787  0.8644  0.4432
S  0.7807  0.3591  0.4331
S  0.9934  0.4286  0.8239
S  0.9930  0.9825  0.8293